# Ho4MgSn2
Calculated powder XRD pattern, Cu Kα (λ = 1.5418 Å). Input: DFT lattice parameters and positions (GGA-PBE).
Peak positions follow from Bragg's law for the DFT cell and can differ from measured ones.

Top 10 peaks for 2θ = 15–90°, in order of rising 2θ:
| 2theta | I (rel.) |
| --- | --- |
| 26.57 | 29.0 |
| 30.73 | 100.0 |
| 30.96 | 74.1 |
| 31.41 | 93.2 |
| 34.00 | 29.2 |
| 35.72 | 69.3 |
| 36.21 | 44.4 |
| 36.51 | 49.8 |
| 40.91 | 44.4 |
| 47.90 | 26.4 |

Atomic structure:
```
Ho4MgSn2
1.0
7.622 0.000 0.000
0.000 6.456 0.000
-3.309 0.000 8.010
Ho Mg Sn
8 2 4
direct
0.007 0.250 0.022 Ho
0.171 0.003 0.719 Ho
0.171 0.497 0.719 Ho
0.317 0.750 0.386 Ho
0.683 0.250 0.614 Ho
0.829 0.503 0.281 Ho
0.829 0.997 0.281 Ho
0.993 0.750 0.978 Ho
0.448 0.250 0.209 Mg
0.552 0.750 0.791 Mg
0.224 0.250 0.421 Sn
0.421 0.750 0.071 Sn
0.579 0.250 0.929 Sn
0.776 0.750 0.579 Sn
```

# TbHoMg5
Calculated powder XRD pattern, Cu Kα (λ = 1.5418 Å). Input: DFT lattice parameters and positions (GGA-PBE).
Peak positions follow from Bragg's law for the DFT cell and can differ from measured ones.

Top 10 peaks for 2θ = 15–90°, in order of rising 2θ:
| 2theta | I (rel.) |
| --- | --- |
| 18.27 | 48.4 |
| 19.11 | 100.0 |
| 25.75 | 67.8 |
| 32.42 | 48.9 |
| 33.90 | 34.8 |
| 34.46 | 60.2 |
| 35.28 | 53.8 |
| 37.03 | 21.8 |
| 42.35 | 18.3 |
| 51.07 | 17.1 |

Atomic structure:
```
TbHoMg5
1.0
3.178 -4.856 0.000
3.178 4.856 0.000
-2.247 0.000 6.166
Tb Ho Mg
1 1 5
direct
0.000 0.000 0.000 Tb
0.500 0.500 0.500 Ho
0.000 0.000 0.500 Mg
0.083 0.508 0.774 Mg
0.492 0.917 0.226 Mg
0.508 0.083 0.774 Mg
0.917 0.492 0.226 Mg
```

# Tb3Ho2Mg8
Calculated powder XRD pattern, Cu Kα (λ = 1.5418 Å). Input: DFT lattice parameters and positions (GGA-PBE).
Peak positions follow from Bragg's law for the DFT cell and can differ from measured ones.

Top 10 peaks for 2θ = 15–90°, in order of rising 2θ:
| 2theta | I (rel.) |
| --- | --- |
| 21.29 | 74.3 |
| 30.66 | 90.0 |
| 31.94 | 100.0 |
| 34.00 | 76.6 |
| 37.63 | 27.7 |
| 44.86 | 23.6 |
| 54.52 | 21.3 |
| 55.32 | 42.1 |
| 56.67 | 17.8 |
| 73.18 | 18.2 |

Atomic structure:
```
Tb3Ho2Mg8
1.0
2.916 1.684 12.351
-2.916 1.684 12.351
0.000 -3.367 12.351
Tb Ho Mg
3 2 8
direct
0.000 0.000 0.000 Tb
0.183 0.183 0.183 Tb
0.817 0.817 0.817 Tb
0.360 0.360 0.360 Ho
0.640 0.640 0.640 Ho
0.230 0.731 0.731 Mg
0.269 0.269 0.770 Mg
0.269 0.770 0.269 Mg
0.275 0.275 0.275 Mg
0.725 0.725 0.725 Mg
0.731 0.230 0.731 Mg
0.731 0.731 0.230 Mg
0.770 0.269 0.269 Mg
```

# Tb7Ho2Mg2
Calculated powder XRD pattern, Cu Kα (λ = 1.5418 Å). Input: DFT lattice parameters and positions (GGA-PBE).
Peak positions follow from Bragg's law for the DFT cell and can differ from measured ones.

Top 10 peaks for 2θ = 15–90°, in order of rising 2θ:
| 2theta | I (rel.) |
| --- | --- |
| 31.24 | 100.0 |
| 31.34 | 35.7 |
| 35.89 | 46.1 |
| 37.00 | 21.2 |
| 51.66 | 16.2 |
| 52.43 | 15.6 |
| 52.57 | 15.4 |
| 61.61 | 24.0 |
| 61.73 | 9.6 |
| 63.06 | 9.0 |

Atomic structure:
```
Tb7Ho2Mg2
1.0
5.004 0.000 0.000
-0.004 7.715 0.000
-2.483 -2.134 8.669
Tb Ho Mg
7 2 2
direct
0.000 0.000 0.000 Tb
0.093 0.457 0.187 Tb
0.274 0.362 0.548 Tb
0.362 0.820 0.723 Tb
0.638 0.180 0.277 Tb
0.726 0.638 0.452 Tb
0.907 0.543 0.813 Tb
0.460 0.275 0.919 Ho
0.540 0.725 0.081 Ho
0.182 0.912 0.364 Mg
0.818 0.088 0.636 Mg
```

# Tb3HoMg7
Calculated powder XRD pattern, Cu Kα (λ = 1.5418 Å). Input: DFT lattice parameters and positions (GGA-PBE).
Peak positions follow from Bragg's law for the DFT cell and can differ from measured ones.

Top 10 peaks for 2θ = 15–90°, in order of rising 2θ:
| 2theta | I (rel.) |
| --- | --- |
| 18.09 | 17.9 |
| 19.13 | 100.0 |
| 21.77 | 35.9 |
| 31.59 | 29.8 |
| 31.74 | 31.2 |
| 31.98 | 34.3 |
| 35.21 | 24.4 |
| 35.46 | 49.3 |
| 36.44 | 22.6 |
| 36.66 | 22.3 |

Atomic structure:
```
Tb3HoMg7
1.0
1.649 -11.277 0.000
1.649 11.277 0.000
0.000 0.000 16.333
Tb Ho Mg
6 2 14
direct
0.118 0.882 0.534 Tb
0.118 0.882 0.966 Tb
0.239 0.761 0.250 Tb
0.761 0.239 0.750 Tb
0.882 0.118 0.034 Tb
0.882 0.118 0.466 Tb
0.015 0.985 0.250 Ho
0.985 0.015 0.750 Ho
0.262 0.738 0.574 Mg
0.262 0.738 0.926 Mg
0.375 0.625 0.657 Mg
0.375 0.625 0.843 Mg
0.386 0.614 0.250 Mg
0.493 0.507 0.584 Mg
0.493 0.507 0.916 Mg
0.507 0.493 0.084 Mg
0.507 0.493 0.416 Mg
0.614 0.386 0.750 Mg
0.625 0.375 0.157 Mg
0.625 0.375 0.343 Mg
0.738 0.262 0.074 Mg
0.738 0.262 0.426 Mg
```

# TbHoMg3
Calculated powder XRD pattern, Cu Kα (λ = 1.5418 Å). Input: DFT lattice parameters and positions (GGA-PBE).
Peak positions follow from Bragg's law for the DFT cell and can differ from measured ones.

Top 10 peaks for 2θ = 15–90°, in order of rising 2θ:
| 2theta | I (rel.) |
| --- | --- |
| 18.05 | 19.8 |
| 21.19 | 11.1 |
| 24.64 | 44.9 |
| 33.38 | 100.0 |
| 34.35 | 24.8 |
| 34.69 | 22.9 |
| 49.62 | 17.5 |
| 60.89 | 17.2 |
| 61.34 | 17.3 |
| 70.11 | 11.0 |

Atomic structure:
```
TbHoMg3
1.0
-2.586 9.827 5.223
2.586 -9.827 5.223
2.586 9.827 -5.223
Tb Ho Mg
4 4 12
direct
0.180 0.128 0.051 Tb
0.423 0.872 0.551 Tb
0.577 0.128 0.449 Tb
0.820 0.872 0.949 Tb
0.128 0.378 0.750 Ho
0.373 0.123 0.250 Ho
0.627 0.877 0.750 Ho
0.872 0.622 0.250 Ho
0.006 0.865 0.140 Mg
0.050 0.607 0.444 Mg
0.225 0.865 0.360 Mg
0.279 0.626 0.652 Mg
0.337 0.393 0.944 Mg
0.474 0.626 0.848 Mg
0.526 0.374 0.152 Mg
0.663 0.607 0.056 Mg
0.721 0.374 0.348 Mg
0.775 0.135 0.640 Mg
0.950 0.393 0.556 Mg
0.994 0.135 0.860 Mg
```